# NiBTe
Computed powder XRD pattern, Cu Kα X-rays. Input: a DFT-relaxed cell (GGA-PBE, the Materials Project).
No peak broadening, texture or thermal motion is included.

Largest 8 diffraction maxima, by angle, 2θ = 10–90°:
d [Å]  2θ/deg  I_rel
3.298  27.04  100
2.856  31.32  13
2.020  44.88  82
1.722  53.18  46
1.428  65.34  13
1.311  72.07  18
1.166  82.77  26
1.099  89.05  14

Structural model:
```
NiBTe
1.0
0.0000 2.8562 2.8562
2.8562 0.0000 2.8562
2.8562 2.8562 0.0000
Ni B Te
1 1 1
Cartesian
0.0000 0.0000 0.0000
1.4281 1.4281 1.4281
4.2844 4.2844 4.2844
```

# Te4Mo3WSe4
Computed powder XRD pattern, Cu Kα X-rays. Input: a DFT-relaxed cell (GGA-PBE, the Materials Project).
No peak broadening, texture or thermal motion is included.

Largest 8 diffraction maxima, by angle, 2θ = 10–90°:
d [Å]  2θ/deg  I_rel
7.813  11.33  97
2.978  30.01  51
2.543  35.29  100
2.116  42.74  64
2.037  44.49  19
1.720  53.26  39
1.425  65.51  16
1.263  75.24  18

Structural model:
```
Te4Mo3WSe4
1.0
3.4402 0.0000 0.0000
-1.7201 2.9793 0.0000
0.0000 0.0000 39.0635
Te Mo W Se
4 3 1 4
Cartesian
0.0000 0.0000 0.0000
0.0000 0.0000 3.7081
0.0000 0.0000 14.6666
0.0000 0.0000 18.3971
0.0000 0.0000 9.1930
0.0000 0.0000 33.5792
0.0000 1.9862 1.8556
0.0000 1.9862 16.5320
0.0000 1.9862 7.5568
0.0000 1.9862 10.8276
0.0000 1.9862 31.9447
0.0000 1.9862 35.2135
```